[1]
Diffraction record for Ti5HO. The powder X-ray diffraction pattern is computed, not measured: it uses the PBE geometry in Alexandria and Cu Kα (weighted mean of Kα1 and Kα2).
Neutral-atom scattering factors, no anomalous dispersion.

The 6 most intense peaks (2θ from 15° to 90°), in order of rising 2θ:
2θ/deg, Rel. int.
34.14, 68
37.14, 53
37.49, 48
37.67, 64
38.57, 100
49.47, 52

Structural model:
Cell lengths 5.289, 5.289, 7.666 Å; angles 105.47, 105.47, 65.92 degrees
Sites, in units of the cell vectors:
Ti: 0.066 0.934 0.500
Ti: 0.085 0.367 0.362
Ti: 0.099 0.604 0.738
Ti: 0.329 0.642 0.151
Ti: 0.367 0.085 0.862
Ti: 0.604 0.099 0.238
Ti: 0.605 0.792 0.503
Ti: 0.642 0.329 0.651
Ti: 0.792 0.605 0.003
Ti: 0.934 0.066 0.000
H: 0.696 0.698 0.258
H: 0.698 0.696 0.758
O: 0.192 0.311 0.107
O: 0.311 0.192 0.607

[2]
Diffraction record for Ti6H2O13. The powder X-ray diffraction pattern is computed, not measured: it uses the PBE geometry in Alexandria and Cu Kα (weighted mean of Kα1 and Kα2).
Neutral-atom scattering factors, no anomalous dispersion.

The 6 most intense peaks (2θ from 15° to 90°), in order of rising 2θ:
2θ/deg, Rel. int.
24.40, 100
29.78, 52
29.91, 38
32.87, 42
43.83, 37
48.33, 41

Structural model:
Cell lengths 7.651, 7.651, 9.394 Å; angles 97.01, 97.01, 28.50 degrees
Sites, in units of the cell vectors:
Ti: 0.115 0.115 0.092
Ti: 0.165 0.165 0.448
Ti: 0.228 0.228 0.771
Ti: 0.772 0.772 0.229
Ti: 0.835 0.835 0.552
Ti: 0.885 0.885 0.908
H: 0.002 0.002 0.683
H: 0.998 0.998 0.317
O: 0.000 0.000 0.000
O: 0.063 0.063 0.303
O: 0.124 0.124 0.619
O: 0.170 0.170 0.923
O: 0.237 0.237 0.250
O: 0.297 0.297 0.565
O: 0.357 0.357 0.874
O: 0.643 0.643 0.126
O: 0.703 0.703 0.435
O: 0.763 0.763 0.750
O: 0.830 0.830 0.077
O: 0.876 0.876 0.381
O: 0.937 0.937 0.697

[3]
Diffraction record for Ti4H2O. The powder X-ray diffraction pattern is computed, not measured: it uses the PBE geometry in Alexandria and Cu Kα (weighted mean of Kα1 and Kα2).
Neutral-atom scattering factors, no anomalous dispersion.

The 6 most intense peaks (2θ from 15° to 90°), in order of rising 2θ:
2θ/deg, Rel. int.
35.06, 22
37.55, 35
38.81, 67
39.93, 100
52.31, 25
61.28, 20

Structural model:
Cell lengths 4.790, 10.608, 2.923 Å; angles 90.00, 90.00, 90.00 degrees
Sites, in units of the cell vectors:
Ti: 0.233 0.073 0.000
Ti: 0.241 0.332 0.500
Ti: 0.259 0.832 0.500
Ti: 0.267 0.573 0.000
Ti: 0.733 0.427 0.000
Ti: 0.741 0.168 0.500
Ti: 0.759 0.668 0.500
Ti: 0.767 0.927 0.000
H: 0.009 0.752 0.000
H: 0.491 0.252 0.000
H: 0.509 0.748 0.000
H: 0.991 0.248 0.000
O: 0.000 0.500 0.500
O: 0.500 0.000 0.500

[4]
Diffraction record for Tm2HO. The powder X-ray diffraction pattern is computed, not measured: it uses the PBE geometry in Alexandria and Cu Kα (weighted mean of Kα1 and Kα2).
Neutral-atom scattering factors, no anomalous dispersion.

The 6 most intense peaks (2θ from 15° to 90°), in order of rising 2θ:
2θ/deg, Rel. int.
32.26, 100
37.42, 63
53.96, 43
64.26, 32
64.33, 11
67.55, 11

Structural model:
Cell lengths 5.894, 5.894, 5.894 Å; angles 33.48, 33.48, 33.48 degrees
Sites, in units of the cell vectors:
Tm: 0.247 0.247 0.247
Tm: 0.753 0.753 0.753
H: 0.000 0.000 0.000
O: 0.500 0.500 0.500

[5]
Diffraction record for UH8O8. The powder X-ray diffraction pattern is computed, not measured: it uses the PBE geometry in Alexandria and Cu Kα (weighted mean of Kα1 and Kα2).
Neutral-atom scattering factors, no anomalous dispersion.

The 6 most intense peaks (2θ from 15° to 90°), in order of rising 2θ:
2θ/deg, Rel. int.
15.10, 100
20.89, 38
25.22, 56
25.96, 37
26.22, 62
26.34, 55

Structural model:
Cell lengths 7.759, 7.759, 8.540 Å; angles 118.83, 118.83, 52.50 degrees
Sites, in units of the cell vectors:
U: 0.000 0.000 0.000
U: 0.000 0.000 0.500
H: 0.236 0.277 0.816
H: 0.240 0.523 0.101
H: 0.242 0.273 0.629
H: 0.273 0.242 0.129
H: 0.277 0.236 0.316
H: 0.320 0.482 0.572
H: 0.477 0.760 0.399
H: 0.482 0.320 0.072
H: 0.518 0.680 0.928
H: 0.523 0.240 0.601
H: 0.680 0.518 0.428
H: 0.723 0.764 0.684
H: 0.727 0.758 0.871
H: 0.758 0.727 0.371
H: 0.760 0.477 0.899
H: 0.764 0.723 0.184
O: 0.060 0.816 0.195
O: 0.184 0.940 0.305
O: 0.191 0.222 0.677
O: 0.222 0.191 0.177
O: 0.249 0.750 0.924
O: 0.250 0.751 0.576
O: 0.325 0.358 0.047
O: 0.358 0.325 0.547
O: 0.642 0.675 0.453
O: 0.675 0.642 0.953
O: 0.750 0.249 0.424
O: 0.751 0.250 0.076
O: 0.778 0.809 0.823
O: 0.809 0.778 0.323
O: 0.816 0.060 0.695
O: 0.940 0.184 0.805

[6]
Diffraction record for UZn2HO6. The powder X-ray diffraction pattern is computed, not measured: it uses the PBE geometry in Alexandria and Cu Kα (weighted mean of Kα1 and Kα2).
Neutral-atom scattering factors, no anomalous dispersion.

The 6 most intense peaks (2θ from 15° to 90°), in order of rising 2θ:
2θ/deg, Rel. int.
18.83, 43
22.22, 100
32.54, 95
33.90, 39
39.66, 49
53.77, 40

Structural model:
Cell lengths 4.461, 5.522, 9.036 Å; angles 90.00, 90.00, 90.00 degrees
Sites, in units of the cell vectors:
U: 0.000 0.000 0.000
U: 0.500 0.500 0.500
Zn: 0.000 0.500 0.178
Zn: 0.000 0.500 0.822
Zn: 0.500 0.000 0.322
Zn: 0.500 0.000 0.678
H: 0.000 0.000 0.500
H: 0.500 0.500 0.000
O: 0.237 0.124 0.500
O: 0.241 0.151 0.161
O: 0.241 0.151 0.839
O: 0.259 0.651 0.339
O: 0.259 0.651 0.661
O: 0.263 0.624 0.000
O: 0.737 0.376 0.000
O: 0.741 0.349 0.339
O: 0.741 0.349 0.661
O: 0.759 0.849 0.161
O: 0.759 0.849 0.839
O: 0.763 0.876 0.500